Simulated powder diffractogram of TcHgCl4 for Cu Ka, from a DFT-relaxed cell (GGA-PBE, Alexandria).

Largest 10 diffraction maxima, sorted by position, 5° ≤ 2θ ≤ 70°:
2θ 12.93, 6.849 Å, intensity 100, (0 0 1)
2θ 15.82, 5.601 Å, intensity 17, (1 0 -1)
2θ 20.55, 4.323 Å, intensity 9, (1 1 -1)
2θ 22.53, 3.946 Å, intensity 12, (1 1 0)
2θ 25.80, 3.454 Å, intensity 16, (1 -2 0)
2θ 26.10, 3.414 Å, intensity 14, (2 0 -1)
2θ 26.24, 3.396 Å, intensity 30, (2 0 0)
2θ 28.19, 3.166 Å, intensity 17, (0 2 -2)
2θ 33.01, 2.713 Å, intensity 23, (-1 2 1)
2θ 36.45, 2.465 Å, intensity 19, (0 2 -3)

abc: 7.4131 7.5670 7.7381
angles: 113.62 95.61 108.47
Space group P-1 (No. 2)
Asymmetric unit:
Tc  0.1612  0.0629  0.0452
Hg  0.3014  0.6316  0.0986
Cl  0.2327  0.9780  0.2966
Cl  0.2397  0.7836  0.8476
Cl  0.2512  0.4073  0.2912
Cl  0.2580  0.2218  0.8414